Hf2In5: simulated X-ray powder pattern (Cu Kα), based on a cell relaxed with PBE.
Peak positions follow from Bragg's law for the DFT cell and can differ from measured ones.

Principal peaks in the range 5° ≤ 2θ ≤ 70°, sorted by position:
2θ = 19.07°, I = 21; 2θ = 33.85°, I = 28; 2θ = 34.97°, I = 71; 2θ = 35.56°, I = 100; 2θ = 36.63°, I = 41; 2θ = 38.13°, I = 22; 2θ = 40.13°, I = 58; 2θ = 42.97°, I = 26; 2θ = 64.19°, I = 19; 2θ = 64.88°, I = 18

```
Hf2In5
1.0
10.408 0.000 0.000
0.000 10.408 0.000
0.000 0.000 3.076
Hf In
4 10
Direct
0.180 0.320 0.000
0.320 0.820 0.000
0.680 0.180 0.000
0.820 0.680 0.000
0.000 0.500 0.500
0.062 0.792 0.500
0.208 0.062 0.500
0.292 0.562 0.500
0.438 0.292 0.500
0.500 0.000 0.500
0.562 0.708 0.500
0.708 0.438 0.500
0.792 0.938 0.500
0.938 0.208 0.500
```



Li6Eu5Sn9: simulated X-ray powder pattern (Cu Kα), based on a cell relaxed with PBE.
Peak positions follow from Bragg's law for the DFT cell and can differ from measured ones.

Principal peaks in the range 5° ≤ 2θ ≤ 70°, sorted by position:
2θ = 13.22°, I = 33; 2θ = 25.67°, I = 42; 2θ = 28.87°, I = 41; 2θ = 30.15°, I = 93; 2θ = 30.31°, I = 36; 2θ = 30.68°, I = 100; 2θ = 33.27°, I = 37; 2θ = 37.01°, I = 80; 2θ = 40.39°, I = 51; 2θ = 55.92°, I = 40

```
Li6Eu5Sn9
1.0
2.430 -14.556 0.000
2.430 14.556 0.000
0.000 0.000 15.091
Li Eu Sn
12 10 18
Direct
0.098 0.902 0.653
0.098 0.902 0.847
0.161 0.839 0.027
0.161 0.839 0.473
0.264 0.736 0.552
0.264 0.736 0.948
0.736 0.264 0.052
0.736 0.264 0.448
0.839 0.161 0.527
0.839 0.161 0.973
0.902 0.098 0.153
0.902 0.098 0.347
0.200 0.800 0.750
0.343 0.657 0.750
0.432 0.568 0.505
0.432 0.568 0.995
0.491 0.509 0.750
0.509 0.491 0.250
0.568 0.432 0.005
0.568 0.432 0.495
0.657 0.343 0.250
0.800 0.200 0.250
0.008 0.992 0.595
0.008 0.992 0.905
0.088 0.912 0.153
0.088 0.912 0.347
0.233 0.767 0.153
0.233 0.767 0.347
0.329 0.671 0.094
0.329 0.671 0.406
0.389 0.611 0.250
0.611 0.389 0.750
0.671 0.329 0.594
0.671 0.329 0.906
0.767 0.233 0.653
0.767 0.233 0.847
0.912 0.088 0.653
0.912 0.088 0.847
0.992 0.008 0.095
0.992 0.008 0.405
```



Tc3W: simulated X-ray powder pattern (Cu Kα), based on a cell relaxed with PBE.
Peak positions follow from Bragg's law for the DFT cell and can differ from measured ones.

Principal peaks in the range 5° ≤ 2θ ≤ 70°, sorted by position:
2θ = 18.41°, I = 4; 2θ = 27.17°, I = 9; 2θ = 32.17°, I = 4; 2θ = 37.32°, I = 24; 2θ = 40.25°, I = 26; 2θ = 42.60°, I = 100; 2θ = 52.44°, I = 2; 2θ = 54.37°, I = 3; 2θ = 56.05°, I = 15; 2θ = 67.31°, I = 17

```
Tc3W
1.0
5.565 0.000 0.000
-2.782 4.819 0.000
0.000 0.000 4.481
Tc W
6 2
Direct
0.167 0.334 0.250
0.167 0.833 0.250
0.334 0.167 0.750
0.666 0.833 0.250
0.833 0.167 0.750
0.833 0.666 0.750
0.333 0.667 0.750
0.667 0.333 0.250
```



Mg3Fe2N4: simulated X-ray powder pattern (Cu Kα), based on a cell relaxed with PBE.
Peak positions follow from Bragg's law for the DFT cell and can differ from measured ones.

Principal peaks in the range 5° ≤ 2θ ≤ 70°, sorted by position:
2θ = 18.46°, I = 32; 2θ = 22.83°, I = 21; 2θ = 34.94°, I = 100; 2θ = 38.14°, I = 27; 2θ = 47.98°, I = 22; 2θ = 48.87°, I = 21; 2θ = 49.14°, I = 20; 2θ = 51.59°, I = 16; 2θ = 52.36°, I = 14; 2θ = 60.49°, I = 11

```
Mg3Fe2N4
1.0
4.807 -3.792 0.000
4.807 3.792 0.000
-0.039 0.000 5.130
Mg Fe N
6 4 8
Direct
0.104 0.896 0.750
0.256 0.514 0.452
0.486 0.744 0.048
0.514 0.256 0.952
0.744 0.486 0.548
0.896 0.104 0.250
0.076 0.329 0.893
0.329 0.076 0.393
0.671 0.924 0.607
0.924 0.671 0.107
0.074 0.240 0.554
0.224 0.563 0.982
0.240 0.074 0.054
0.437 0.776 0.518
0.563 0.224 0.482
0.760 0.926 0.946
0.776 0.437 0.018
0.926 0.760 0.446
```